Diffraction record for CaTi2MnO6. The PXRD pattern is theoretical, not measured: it uses a DFT-relaxed cell (GGA+U, Alexandria) and Cu Kα.
Lines closer than 0.1° are merged.

Crystal structure
```
CaTi2MnO6
1.0
7.580 0.000 0.000
0.000 7.580 0.000
0.000 0.000 7.750
Ca Ti Mn O
4 8 4 24
Cartesian
0.000 0.000 0.000 Ca
0.000 0.000 3.875 Ca
3.790 3.790 0.402 Ca
3.790 3.790 4.277 Ca
1.849 1.963 2.228 Ti
1.849 5.617 2.228 Ti
1.963 1.849 6.103 Ti
1.963 5.731 6.103 Ti
5.617 1.849 6.103 Ti
5.617 5.731 6.103 Ti
5.731 1.963 2.228 Ti
5.731 5.617 2.228 Ti
0.000 3.790 0.164 Mn
0.000 3.790 4.553 Mn
3.790 0.000 0.678 Mn
3.790 0.000 4.039 Mn
0.000 1.479 1.819 O
0.000 2.255 6.419 O
0.000 5.325 6.419 O
0.000 6.101 1.819 O
1.479 0.000 5.694 O
1.497 2.296 4.009 O
1.497 5.284 4.009 O
1.593 3.790 1.554 O
2.255 0.000 2.544 O
2.296 1.497 0.134 O
2.296 6.084 0.134 O
2.307 3.790 6.230 O
3.790 1.593 5.429 O
3.790 2.307 2.355 O
3.790 5.273 2.355 O
3.790 5.987 5.429 O
5.273 3.790 6.230 O
5.284 1.497 0.134 O
5.284 6.084 0.134 O
5.325 0.000 2.544 O
5.987 3.790 1.554 O
6.084 2.296 4.009 O
6.084 5.284 4.009 O
6.101 0.000 5.694 O
```

Largest 6 diffraction maxima, by intensity, 10° ≤ 2θ ≤ 90°:
2θ (°), intensity
33.06, 100
33.44, 51
59.53, 47
48.01, 39
58.81, 19
46.89, 16


Diffraction record for RbBa2WO5. The PXRD pattern is theoretical, not measured: it uses a DFT-relaxed cell (GGA+U, Alexandria) and Cu Kα.
Lines closer than 0.1° are merged.

Crystal structure
```
RbBa2WO5
1.0
-2.078 3.313 6.033
2.078 -3.313 6.033
2.078 3.313 -6.033
Rb Ba W O
1 2 1 5
Cartesian
0.000 0.000 0.000 Rb
2.078 0.000 3.336 Ba
0.000 3.313 2.696 Ba
0.000 0.000 6.033 W
2.078 1.910 -1.455 O
2.078 1.910 1.455 O
0.000 3.313 0.000 O
0.000 1.403 4.578 O
0.000 1.403 7.488 O
```

Largest 6 diffraction maxima, by intensity, 10° ≤ 2θ ≤ 90°:
2θ (°), intensity
29.38, 100
26.91, 30
15.26, 27
40.44, 25
49.09, 24
29.62, 17